Diffraction record for MoS2. The powder diffractogram is simulated, not measured: it uses a cell relaxed with PBE and Cu Kα (λ = 1.5418 Å).

Top 10 peaks for 2θ = 10–90°, in order of rising 2θ:
2θ (°), d (Å), I (rel.)
10.1, 8.720, 100
15.2, 5.813, 19
32.8, 2.729, 16
34.0, 2.634, 15
36.0, 2.495, 19
38.6, 2.334, 21
41.7, 2.166, 22
45.3, 2.003, 17
49.2, 1.850, 11
58.1, 1.588, 12

Crystal structure
Cell: 3.190 3.190 17.440 Å, 90.00 90.00 120.00°
Atoms (fractional coordinates):
Mo 0.000 0.000 0.000
S 0.333 0.667 0.090
S 0.333 0.667 0.910